Record 1
Starting from a cell relaxed with PBE, the powder X-ray diffraction pattern of La3PmSc was calculated for Cu Kα.
No peak broadening, texture or thermal motion is included.

Peak list (12 most intense, 10 to 90 degrees two-theta, low angle first)
23.7 deg, intensity 7, (0 4 1)
29.3 deg, intensity 22, (0 0 2)
30.6 deg, intensity 32, (2 0 0)
31.6 deg, intensity 100, (1 5 1)
33.5 deg, intensity 19, (1 1 2)
42.9 deg, intensity 16, (2 0 2)
47.7 deg, intensity 9, (0 10 0)
53.5 deg, intensity 13, (0 6 3)
55.0 deg, intensity 24, (3 5 1)
57.7 deg, intensity 9, (2 10 0)
63.3 deg, intensity 6, (1 1 4)
66.1 deg, intensity 7, (2 10 2)

Crystal structure
Unit cell a=5.845 b=19.060 c=6.095 alpha=90.00 beta=90.00 gamma=90.00
Space group Cmc2_1 (No. 36)
Symmetry-distinct sites (fractional):
La 0.000 0.047 0.000 (multiplicity 4)
La 0.000 0.247 0.931 (multiplicity 4)
La 0.000 0.442 0.873 (multiplicity 4)
Pm 0.000 0.357 0.373 (multiplicity 4)
Sc 0.000 0.147 0.482 (multiplicity 4)


Record 2
Starting from a cell relaxed with PBE, the powder X-ray diffraction pattern of LaPm4Sc4 was calculated for Cu Kα.
No peak broadening, texture or thermal motion is included.

Peak list (12 most intense, 10 to 90 degrees two-theta, low angle first)
16.9 deg, intensity 8, (2 0 0)
20.1 deg, intensity 15, (1 0 1)
26.9 deg, intensity 7, (3 1 0)
31.5 deg, intensity 100, (3 0 1)
36.3 deg, intensity 34, (3 3 0)
36.8 deg, intensity 16, (0 0 2)
52.3 deg, intensity 12, (6 0 0)
52.7 deg, intensity 23, (3 3 2)
62.3 deg, intensity 27, (6 3 1)
63.0 deg, intensity 13, (3 0 3)
65.7 deg, intensity 12, (6 0 2)
86.2 deg, intensity 11, (6 3 3)

Crystal structure
Unit cell a=10.493 b=10.493 c=4.883 alpha=90.00 beta=90.00 gamma=90.00
Space group I4/mmm (No. 139)
Symmetry-distinct sites (fractional):
La 0.000 0.000 0.000 (multiplicity 2)
Pm 0.000 0.328 0.000 (multiplicity 8)
Sc 0.168 0.168 0.500 (multiplicity 8)


Record 3
Starting from a cell relaxed with PBE, the powder X-ray diffraction pattern of LaPm6Sc was calculated for Cu Kα.
No peak broadening, texture or thermal motion is included.

Peak list (12 most intense, 10 to 90 degrees two-theta, low angle first)
16.0 deg, intensity 38, (1 1 0)
20.0 deg, intensity 13, (2 0 0)
27.6 deg, intensity 18, (1 1 2)
31.4 deg, intensity 39, (2 0 -3)
31.8 deg, intensity 19, (3 1 -1)
32.0 deg, intensity 39, (2 0 2)
32.1 deg, intensity 100, (0 2 2)
32.2 deg, intensity 30, (2 2 0)
39.2 deg, intensity 19, (4 0 -1)
51.9 deg, intensity 16, (4 2 1)
56.3 deg, intensity 19, (2 2 -5)
57.1 deg, intensity 19, (2 2 4)

Crystal structure
Unit cell a=9.197 b=7.122 c=9.279 alpha=90.00 beta=105.47 gamma=90.00
Space group C2/m (No. 12)
Symmetry-distinct sites (fractional):
La 0.000 0.000 0.000 (multiplicity 2)
Pm 0.133 0.000 0.425 (multiplicity 4)
Pm 0.198 0.243 0.790 (multiplicity 8)
Sc 0.000 0.500 0.500 (multiplicity 2)